[1]
Diffraction record for SrCaDyNbO6. The powder XRD pattern is theoretical, not measured: it uses a cell relaxed with GGA-PBE and CuKα.

Largest 12 diffraction maxima, in order of rising 2θ, 10° ≤ 2θ ≤ 90°:
two_theta	I (rel.)
18.3	9
21.1	25
30.1	100
35.4	7
43.0	34
48.4	10
53.4	40
62.5	21
66.8	5
70.9	17
78.9	7
86.7	21

Structure:
```
SrCaDyNbO6
1.0
0.000 4.202 4.202
4.202 0.000 4.202
4.202 4.202 0.000
Sr Ca Dy Nb O
1 1 1 1 6
Direct
0.000 0.000 0.000
0.500 0.500 0.500
0.250 0.250 0.250
0.750 0.750 0.750
0.512 0.512 0.988
0.512 0.988 0.512
0.512 0.988 0.988
0.988 0.512 0.512
0.988 0.512 0.988
0.988 0.988 0.512
```

[2]
Diffraction record for Te4Mo3WSe2S2. The powder XRD pattern is theoretical, not measured: it uses a cell relaxed with GGA-PBE and CuKα.

Largest 12 diffraction maxima, in order of rising 2θ, 10° ≤ 2θ ≤ 90°:
two_theta	I (rel.)
10.9	100
30.4	50
32.4	13
34.2	12
35.3	76
36.5	15
42.3	57
43.9	16
54.0	32
55.2	13
70.8	12
74.5	14

Structure:
```
Te4Mo3WSe2S2
1.0
3.399 0.000 0.000
-1.699 2.943 0.000
0.000 0.000 40.405
Te Mo W Se S
4 3 1 2 2
Direct
0.000 0.000 0.000
0.000 0.000 0.093
0.333 0.667 0.191
0.333 0.667 0.283
0.000 0.000 0.237
0.000 0.000 0.859
0.333 0.667 0.046
0.333 0.667 0.423
0.333 0.667 0.818
0.333 0.667 0.900
0.000 0.000 0.386
0.000 0.000 0.461
```

[3]
Diffraction record for Tm2Mn12GaGe11. The powder XRD pattern is theoretical, not measured: it uses a cell relaxed with GGA-PBE and CuKα.

Largest 12 diffraction maxima, in order of rising 2θ, 10° ≤ 2θ ≤ 90°:
two_theta	I (rel.)
34.7	77
38.8	44
40.2	50
41.4	100
44.6	24
46.3	36
48.7	23
64.9	19
66.7	23
73.2	29
80.0	26
89.9	18

Structure:
```
Tm2Mn12GaGe11
1.0
5.175 0.000 0.000
-2.587 4.481 0.000
0.000 0.000 16.252
Tm Mn Ga Ge
2 12 1 11
Direct
0.000 0.000 0.000
0.000 0.000 0.499
0.000 0.500 0.123
0.000 0.500 0.375
0.000 0.500 0.624
0.000 0.500 0.874
0.500 0.000 0.123
0.500 0.000 0.375
0.500 0.000 0.624
0.500 0.000 0.874
0.500 0.500 0.123
0.500 0.500 0.375
0.500 0.500 0.624
0.500 0.500 0.874
0.000 0.000 0.172
0.000 0.000 0.328
0.000 0.000 0.671
0.000 0.000 0.828
0.333 0.667 0.000
0.333 0.667 0.248
0.333 0.667 0.499
0.333 0.667 0.749
0.667 0.333 0.000
0.667 0.333 0.248
0.667 0.333 0.499
0.667 0.333 0.749
```